No. 1
For KMg14GaO16, the GGA-PBE geometry in the Materials Project gives the calculated powder diffraction line list in this record (λ = 1.5418 Å (Cu Kα)).

The 8 most intense peaks (15° ≤ 2θ ≤ 90°), by angle:
hkl  Position (°2θ)  I_rel
1 2 2  35.90  50.1
2 0 0  41.00  100.0
0 0 4  41.73  92.6
0 4 0  42.34  89.1
2 0 4  59.93  54.7
2 4 0  60.40  52.8
0 4 4  60.96  50.6
2 4 4  76.10  47.4

```
data_KMg14GaO16
_chemical_formula_sum 'K1 Mg14 Ga1 O16'
_symmetry_space_group_name_H-M 'P m m m'
_symmetry_Int_Tables_number 47
_cell_length_a 4.403
_cell_length_b 8.538
_cell_length_c 8.658
_cell_angle_alpha 90.00
_cell_angle_beta 90.00
_cell_angle_gamma 90.00
loop_
_symmetry_equiv_pos_as_xyz
'x,y,z'
'-x,-y,-z'
'-x,-y,z'
'x,y,-z'
'x,-y,-z'
'-x,y,z'
'-x,y,-z'
'x,-y,z'
loop_
_atom_site_label
_atom_site_type_symbol
_atom_site_fract_x
_atom_site_fract_y
_atom_site_fract_z
_atom_site_occupancy
K1 K 0.000 0.000 0.000 1
Mg1 Mg 0.000 0.000 0.500 1
Mg2 Mg 0.000 0.248 0.256 1
Mg3 Mg 0.000 0.500 0.500 1
Mg4 Mg 0.500 0.000 0.252 1
Mg5 Mg 0.500 0.247 0.000 1
Mg6 Mg 0.500 0.249 0.500 1
Mg7 Mg 0.500 0.500 0.252 1
Ga1 Ga 0.000 0.500 0.000 1
O1 O 0.000 0.000 0.275 1
O2 O 0.000 0.258 0.500 1
O3 O 0.000 0.282 0.000 1
O4 O 0.000 0.500 0.248 1
O5 O 0.500 0.000 0.000 1
O6 O 0.500 0.000 0.500 1
O7 O 0.500 0.251 0.249 1
O8 O 0.500 0.500 0.000 1
O9 O 0.500 0.500 0.500 1
```



No. 2
For KMg6GaO8, the GGA-PBE geometry in the Materials Project gives the calculated powder diffraction line list in this record (λ = 1.5418 Å (Cu Kα)).

The 8 most intense peaks (15° ≤ 2θ ≤ 90°), by angle:
hkl  Position (°2θ)  I_rel
1 1 1  30.28  11.1
1 1 2  35.28  36.2
2 0 0  40.65  100.0
0 0 4  41.59  44.4
2 2 0  58.84  29.0
2 0 4  59.56  53.4
3 1 2  70.50  12.8
2 2 4  74.62  24.8

```
data_KMg6GaO8
_chemical_formula_sum 'K1 Mg6 Ga1 O8'
_symmetry_space_group_name_H-M 'P 4/m m m'
_symmetry_Int_Tables_number 123
_symmetry_space_group_name_Hall '-P 4 2'
_cell_length_a 4.439
_cell_length_b 4.439
_cell_length_c 8.685
_cell_angle_alpha 90.00
_cell_angle_beta 90.00
_cell_angle_gamma 90.00
loop_
_atom_site_label
_atom_site_type_symbol
_atom_site_fract_x
_atom_site_fract_y
_atom_site_fract_z
_atom_site_occupancy
K1 K 0.000 0.000 0.000 1
Mg1 Mg 0.000 0.000 0.500 1
Mg2 Mg 0.000 0.500 0.252 1
Mg3 Mg 0.500 0.500 0.500 1
Ga1 Ga 0.500 0.500 0.000 1
O1 O 0.000 0.000 0.276 1
O2 O 0.000 0.500 0.000 1
O3 O 0.000 0.500 0.500 1
O4 O 0.500 0.500 0.235 1
```